Entry 1:
The following is a computed X-ray diffraction stick pattern of Tb4Mg. It was derived from DFT lattice parameters and positions (GGA-PBE), using copper Kα.
Kinematic intensities with the Lorentz-polarization factor, no thermal factor.

Structural model:
abc: 3.5540 3.5540 42.0779
angles: 90.00 90.00 120.00
Space group R-3m (No. 166, hexagonal axes)
One atom of each set of equivalent atoms:
Tb1 0.0000 0.0000 0.1032 (multiplicity 6)
Tb2 0.0000 0.0000 0.3680 (multiplicity 6)
Mg1 0.0000 0.0000 0.5000 (multiplicity 3)

The 10 most intense peaks (2θ from 10° to 80°), low angle first:
hkl  2theta  I/Imax
1 0 4  30.3  1000
0 0 15  31.9  389
1 0 7  32.7  348
0 1 8  33.7  531
0 1 11  37.5  432
1 0 19  50.8  275
1 1 0  51.4  322
0 1 23  58.7  153
0 2 4  60.8  139
1 1 15  61.8  351

***

Entry 2:
The following is a computed X-ray diffraction stick pattern of La4OsCl. It was derived from DFT lattice parameters and positions (GGA-PBE), using copper Kα.
Kinematic intensities with the Lorentz-polarization factor, no thermal factor.

Structural model:
abc: 8.759 8.759 8.759
angles: 90.00 90.00 90.00
Space group F-43m (No. 216)
One atom of each set of equivalent atoms:
La1 0.124 0.124 0.124 (multiplicity 16)
Os1 0.250 0.250 0.750 (multiplicity 4)
Cl1 0.000 0.000 0.500 (multiplicity 4)

The 10 most intense peaks (2θ from 10° to 80°), low angle first:
hkl  2theta  I/Imax
1 1 1  17.5  217
2 0 0  20.3  91
2 2 0  28.8  193
3 1 1  33.9  1000
2 2 2  35.5  483
4 0 0  41.2  79
3 3 3  54.4  343
4 4 0  59.7  292
5 3 3  70.5  119
6 2 2  71.4  187

***

Entry 3:
The following is a computed X-ray diffraction stick pattern of Sr3Li3Ca2. It was derived from DFT lattice parameters and positions (GGA-PBE), using copper Kα.
Kinematic intensities with the Lorentz-polarization factor, no thermal factor.

Structural model:
abc: 4.198 6.089 24.415
angles: 90.00 90.00 90.00
Space group Immm (No. 71)
One atom of each set of equivalent atoms:
Sr1 0.000 0.000 0.000 (multiplicity 2)
Sr2 0.000 0.500 0.122 (multiplicity 4)
Li1 0.000 0.000 0.500 (multiplicity 2)
Li2 0.000 0.500 0.377 (multiplicity 4)
Ca1 0.000 0.000 0.234 (multiplicity 4)

The 10 most intense peaks (2θ from 10° to 80°), low angle first:
hkl  2theta  I/Imax
0 1 3  18.2  355
1 0 1  21.5  389
0 1 5  23.4  458
0 2 0  29.3  499
1 1 4  29.7  1000
1 2 1  36.6  198
0 2 8  41.9  169
1 1 12  52.2  149
1 3 4  52.3  196
2 2 0  53.0  181

***

Entry 4:
The following is a computed X-ray diffraction stick pattern of CuH4Pd5. It was derived from DFT lattice parameters and positions (GGA-PBE), using copper Kα.
Kinematic intensities with the Lorentz-polarization factor, no thermal factor.

Structural model:
abc: 2.964 5.840 6.161
angles: 103.75 103.89 90.01
Space group P-1 (No. 2)
One atom of each set of equivalent atoms:
Cu1 0.000 0.000 0.000 (multiplicity 1)
H1 0.171 0.126 0.350 (multiplicity 2)
H2 0.499 0.289 0.001 (multiplicity 2)
Pd1 0.000 0.500 0.000 (multiplicity 1)
Pd2 0.336 0.673 0.670 (multiplicity 2)
Pd3 0.339 0.161 0.677 (multiplicity 2)

The 10 most intense peaks (2θ from 10° to 80°), low angle first:
hkl  2theta  I/Imax
0 1 -2  31.0  14
1 0 1  38.3  1000
0 2 1  38.6  967
1 2 -1  43.5  710
0 0 3  47.0  280
2 0 -1  62.7  117
0 4 -1  63.7  115
1 2 2  66.0  389
2 2 0  76.1  254
1 4 0  76.8  244

***

Entry 5:
The following is a computed X-ray diffraction stick pattern of AcAlB12. It was derived from DFT lattice parameters and positions (GGA-PBE), using copper Kα.
Kinematic intensities with the Lorentz-polarization factor, no thermal factor.

Structural model:
abc: 4.203 4.203 8.415
angles: 90.00 90.00 90.00
Space group P4/mmm (No. 123)
One atom of each set of equivalent atoms:
Ac1 0.000 0.000 0.000 (multiplicity 1)
Al1 0.000 0.000 0.500 (multiplicity 1)
B1 0.203 0.500 0.250 (multiplicity 8)
B2 0.500 0.500 0.101 (multiplicity 2)
B3 0.500 0.500 0.399 (multiplicity 2)

The 10 most intense peaks (2θ from 10° to 80°), low angle first:
hkl  2theta  I/Imax
0 0 1  10.5  956
1 0 0  21.1  558
1 0 1  23.7  645
1 1 0  30.1  1000
1 1 1  31.9  387
1 1 2  37.0  425
2 0 1  44.4  257
2 1 0  48.4  502
2 1 2  53.4  265
2 2 2  66.7  298

***

Entry 6:
The following is a computed X-ray diffraction stick pattern of Ce2Si2I. It was derived from DFT lattice parameters and positions (GGA-PBE), using copper Kα.
Kinematic intensities with the Lorentz-polarization factor, no thermal factor.

Structural model:
abc: 8.132 17.356 3.928
angles: 90.00 90.00 90.00
Space group Imma (No. 74)
One atom of each set of equivalent atoms:
Ce1 0.250 0.097 0.250 (multiplicity 8)
Si1 0.000 0.040 0.750 (multiplicity 8)
I1 0.000 0.250 0.240 (multiplicity 4)

The 10 most intense peaks (2θ from 10° to 80°), low angle first:
hkl  2theta  I/Imax
0 1 1  23.2  580
2 2 0  24.2  202
2 4 0  30.1  565
0 6 0  30.9  250
2 3 1  35.4  1000
0 7 1  43.1  287
4 0 0  44.6  147
4 1 1  50.8  138
2 4 2  56.2  190
4 7 1  63.8  178